Structure and simulated X-ray diffraction stick pattern of NaCaP2O6 (DFT lattice parameters and positions (GGA-PBE); Cu Kα).
Peak positions follow from Bragg's law for the DFT cell and can differ from measured ones.

Peak list (8 most intense, 2θ from 10° to 90°, by angle)
2θ 19.01, intensity 160
2θ 26.64, intensity 224
2θ 27.44, intensity 1000
2θ 29.51, intensity 355
2θ 31.89, intensity 356
2θ 34.44, intensity 293
2θ 39.82, intensity 157
2θ 49.59, intensity 275

Structure:
a b c (Å): 6.939 6.939 6.004
angles (deg): 105.24 105.24 84.56
Fractional coordinates of all 20 atoms:
Na  0.198  0.802  0.750
Na  0.802  0.198  0.250
Ca  0.386  0.614  0.250
Ca  0.614  0.386  0.750
P  0.135  0.286  0.731
P  0.286  0.135  0.231
P  0.714  0.865  0.769
P  0.865  0.714  0.269
O  0.081  0.638  0.338
O  0.137  0.186  0.995
O  0.186  0.137  0.495
O  0.288  0.456  0.836
O  0.362  0.919  0.162
O  0.456  0.288  0.336
O  0.544  0.712  0.664
O  0.638  0.081  0.838
O  0.712  0.544  0.164
O  0.814  0.863  0.505
O  0.863  0.814  0.005
O  0.919  0.362  0.662

Structure and simulated X-ray diffraction stick pattern of NaCaP3O9 (DFT lattice parameters and positions (GGA-PBE); Cu Kα).
Peak positions follow from Bragg's law for the DFT cell and can differ from measured ones.

Peak list (8 most intense, 2θ from 10° to 90°, by angle)
2θ 18.00, intensity 588
2θ 23.28, intensity 504
2θ 25.59, intensity 645
2θ 26.55, intensity 839
2θ 27.16, intensity 522
2θ 27.63, intensity 751
2θ 28.17, intensity 587
2θ 30.59, intensity 1000

Structure:
a b c (Å): 6.820 7.053 7.764
angles (deg): 83.72 81.37 82.43
Fractional coordinates of all 28 atoms:
Na  0.033  0.134  0.165
Na  0.967  0.866  0.835
Ca  0.487  0.774  0.859
Ca  0.513  0.226  0.141
P  0.117  0.619  0.219
P  0.313  0.838  0.444
P  0.331  0.299  0.779
P  0.669  0.701  0.221
P  0.687  0.162  0.556
P  0.883  0.381  0.781
O  0.120  0.358  0.713
O  0.161  0.769  0.068
O  0.183  0.411  0.199
O  0.191  0.675  0.393
O  0.267  0.843  0.639
O  0.286  0.018  0.325
O  0.331  0.119  0.907
O  0.410  0.461  0.846
O  0.456  0.256  0.591
O  0.544  0.744  0.409
O  0.590  0.539  0.154
O  0.669  0.881  0.093
O  0.714  0.982  0.675
O  0.733  0.157  0.361
O  0.809  0.325  0.607
O  0.817  0.589  0.801
O  0.839  0.231  0.932
O  0.880  0.642  0.287